[1]
Simulated XRD peak list
Compound: MnO
Radiation: λ = 1.5418 Å (Cu Kα)
Structure: a crystal structure in the Materials Project, relaxed with GGA+U
No peak broadening, texture or thermal motion is included.

Crystal structure
Cell lengths 3.423, 3.423, 5.455 Å; angles 90.00, 90.00, 119.13 degrees
Fractional coordinates of all 4 atoms:
Mn (0.170, 0.830, 0.500)
Mn (0.830, 0.170, 0.000)
O (0.165, 0.835, 0.117)
O (0.835, 0.165, 0.617)

The 12 most intense peaks (2θ = 10–80°), by intensity:
2θ/deg  d [Å]  Rel. int.
34.2  2.622  100.0
32.8  2.727  64.6
29.9  2.990  58.7
34.6  2.596  43.8
53.6  1.711  39.8
59.5  1.553  36.8
30.3  2.951  33.1
64.3  1.450  30.2
45.0  2.015  23.3
52.8  1.734  21.0
59.7  1.548  17.0
63.6  1.463  15.7

[2]
Simulated XRD peak list
Compound: MnO
Radiation: λ = 1.5418 Å (Cu Kα)
Structure: a crystal structure in the Materials Project, relaxed with GGA+U
No peak broadening, texture or thermal motion is included.

Crystal structure
Cell lengths 3.432, 3.432, 3.440 Å; angles 119.96, 119.96, 60.04 degrees
Fractional coordinates of all 2 atoms:
Mn (0.000, 0.000, 0.000)
O (0.250, 0.250, 0.749)

The 10 most intense peaks (2θ = 10–80°), by intensity:
2θ/deg  d [Å]  Rel. int.
31.9  2.805  100.0
53.3  1.719  23.0
53.4  1.716  22.8
37.0  2.429  22.5
63.5  1.466  19.9
63.6  1.464  14.2
78.7  1.215  4.1
66.7  1.402  3.9
78.9  1.214  2.0
66.5  1.405  1.3

[3]
Simulated XRD peak list
Compound: Mn2O5
Radiation: λ = 1.5418 Å (Cu Kα)
Structure: a crystal structure in the Materials Project, relaxed with GGA+U
No peak broadening, texture or thermal motion is included.

Crystal structure
Cell lengths 5.494, 9.780, 3.535 Å; angles 90.00, 90.00, 90.00 degrees
Fractional coordinates of all 14 atoms:
Mn (0.220, 0.140, 0.000)
Mn (0.280, 0.640, 0.000)
Mn (0.720, 0.360, 0.000)
Mn (0.780, 0.860, 0.000)
O (0.000, 0.000, 0.000)
O (0.047, 0.293, 0.000)
O (0.209, 0.601, 0.500)
O (0.291, 0.101, 0.500)
O (0.453, 0.793, 0.000)
O (0.500, 0.500, 0.000)
O (0.547, 0.207, 0.000)
O (0.709, 0.899, 0.500)
O (0.791, 0.399, 0.500)
O (0.953, 0.707, 0.000)

The 12 most intense peaks (2θ = 10–80°), by intensity:
2θ/deg  d [Å]  Rel. int.
24.4  3.653  100.0
25.2  3.535  42.1
35.3  2.540  20.9
58.0  1.591  14.9
49.9  1.826  14.6
51.7  1.768  10.7
32.6  2.747  9.9
56.7  1.623  9.4
36.8  2.445  8.8
53.4  1.715  8.6
74.7  1.270  8.0
42.7  2.118  7.7

[4]
Simulated XRD peak list
Compound: MnO
Radiation: λ = 1.5418 Å (Cu Kα)
Structure: a crystal structure in the Materials Project, relaxed with GGA+U
No peak broadening, texture or thermal motion is included.

Crystal structure
Cell lengths 3.472, 3.472, 4.808 Å; angles 90.00, 90.00, 120.00 degrees
Fractional coordinates of all 2 atoms:
Mn (0.000, 0.000, 0.000)
O (0.667, 0.333, 0.999)

The 12 most intense peaks (2θ = 10–80°), by intensity:
2θ/deg  d [Å]  Rel. int.
18.5  4.808  100.0
35.2  2.549  50.7
29.7  3.006  40.4
56.4  1.633  23.3
48.5  1.877  19.3
37.4  2.404  15.0
52.7  1.736  14.6
66.4  1.407  13.1
65.0  1.435  7.5
66.1  1.414  7.1
74.4  1.275  4.9
61.7  1.503  4.4

[5]
Simulated XRD peak list
Compound: MnO
Radiation: λ = 1.5418 Å (Cu Kα)
Structure: a crystal structure in the Materials Project, relaxed with GGA+U
No peak broadening, texture or thermal motion is included.

Crystal structure
Cell lengths 3.159, 3.159, 3.159 Å; angles 60.81, 60.81, 60.81 degrees
Fractional coordinates of all 2 atoms:
Mn (0.000, 0.000, 0.000)
O (0.500, 0.500, 0.500)

The 10 most intense peaks (2θ = 10–80°), by intensity:
2θ/deg  d [Å]  Rel. int.
40.1  2.247  100.0
34.4  2.605  46.5
57.7  1.599  29.8
58.4  1.579  28.4
35.0  2.563  14.8
72.6  1.303  13.5
69.3  1.356  12.0
68.9  1.363  6.1
70.0  1.344  5.8
74.0  1.282  4.2